[1]
For Pr2Al6Pd9, a cell relaxed with GGA-PBE gives the calculated PXRD pattern in this record (λ = 1.5418 Å (Cu Kα)).
Peak positions follow from Bragg's law for the DFT cell and can differ from measured ones.

Atomic structure:
abc: 5.6378 5.6378 11.8517
angles: 90.00 90.00 120.00
Space group P6/mmm (No. 191)
Asymmetric unit:
Pr (0.0000, 0.0000, 0.1937) (multiplicity 2)
Al (0.3333, 0.6667, 0.1636) (multiplicity 4)
Al (0.3333, 0.6667, 0.5000) (multiplicity 2)
Pd (0.0000, 0.5000, 0.0000) (multiplicity 3)
Pd (0.0000, 0.5000, 0.3316) (multiplicity 6)

Principal peaks in the range 2θ = 10–90°, by angle:
hkl 0 0 3, 22.5 deg, 3.951 Å, intensity 28
hkl 1 0 3, 29.1 deg, 3.071 Å, intensity 65
hkl 2 0 0, 36.8 deg, 2.441 Å, intensity 100
hkl 1 1 3, 39.3 deg, 2.295 Å, intensity 65
hkl 2 0 3, 43.6 deg, 2.077 Å, intensity 58
hkl 0 0 6, 45.9 deg, 1.975 Å, intensity 21
hkl 2 1 3, 54.9 deg, 1.672 Å, intensity 22
hkl 2 0 6, 60.3 deg, 1.536 Å, intensity 36
hkl 2 2 0, 66.3 deg, 1.409 Å, intensity 25
hkl 2 2 6, 84.4 deg, 1.147 Å, intensity 21


[2]
For PrAl6Pd4, a cell relaxed with GGA-PBE gives the calculated PXRD pattern in this record (λ = 1.5418 Å (Cu Kα)).
Peak positions follow from Bragg's law for the DFT cell and can differ from measured ones.

Atomic structure:
abc: 7.2971 7.2971 4.1153
angles: 90.00 90.00 120.00
Space group P-6m2 (No. 187)
Asymmetric unit:
Pr (0.0000, 0.0000, 0.0000) (multiplicity 1)
Al (0.2017, 0.4033, 0.5000) (multiplicity 3)
Al (0.5345, 0.0691, 0.0000) (multiplicity 3)
Pd (0.3333, 0.6667, 0.0000) (multiplicity 1)
Pd (0.4048, 0.2024, 0.5000) (multiplicity 3)

Principal peaks in the range 2θ = 10–90°, by angle:
hkl 1 0 1, 25.8 deg, 3.449 Å, intensity 78
hkl 2 0 0, 28.2 deg, 3.160 Å, intensity 52
hkl 1 1 1, 32.8 deg, 2.730 Å, intensity 100
hkl 2 0 1, 35.8 deg, 2.506 Å, intensity 92
hkl 2 1 0, 37.7 deg, 2.389 Å, intensity 73
hkl 2 1 1, 43.8 deg, 2.066 Å, intensity 38
hkl 0 0 2, 44.0 deg, 2.058 Å, intensity 41
hkl 3 0 1, 48.6 deg, 1.875 Å, intensity 73
hkl 2 2 0, 50.0 deg, 1.824 Å, intensity 37
hkl 2 1 2, 59.3 deg, 1.559 Å, intensity 38


[3]
For Pr2Al5Pd5, a cell relaxed with GGA-PBE gives the calculated PXRD pattern in this record (λ = 1.5418 Å (Cu Kα)).
Peak positions follow from Bragg's law for the DFT cell and can differ from measured ones.

Atomic structure:
abc: 4.282 5.441 9.556
angles: 90.00 90.00 90.00
Space group Pmmm (No. 47)
Asymmetric unit:
Pr (0.000, 0.000, 0.000) (multiplicity 1)
Pr (0.000, 0.500, 0.500) (multiplicity 1)
Al (0.500, 0.000, 0.500) (multiplicity 1)
Al (0.500, 0.249, 0.239) (multiplicity 4)
Pd (0.000, 0.000, 0.335) (multiplicity 2)
Pd (0.000, 0.500, 0.189) (multiplicity 2)
Pd (0.500, 0.500, 0.000) (multiplicity 1)

Principal peaks in the range 2θ = 10–90°, by angle:
hkl 1 0 0, 20.7 deg, 4.282 Å, intensity 40
hkl 1 1 1, 28.1 deg, 3.174 Å, intensity 18
hkl 0 1 3, 32.6 deg, 2.749 Å, intensity 41
hkl 0 2 0, 32.9 deg, 2.720 Å, intensity 32
hkl 1 1 3, 38.9 deg, 2.313 Å, intensity 100
hkl 1 2 0, 39.2 deg, 2.296 Å, intensity 33
hkl 2 0 0, 42.2 deg, 2.141 Å, intensity 26
hkl 2 1 3, 54.3 deg, 1.689 Å, intensity 17
hkl 2 2 0, 54.5 deg, 1.682 Å, intensity 15
hkl 1 3 3, 62.8 deg, 1.479 Å, intensity 24


[4]
For Pr2Al5Pd3, a cell relaxed with GGA-PBE gives the calculated PXRD pattern in this record (λ = 1.5418 Å (Cu Kα)).
Peak positions follow from Bragg's law for the DFT cell and can differ from measured ones.

Atomic structure:
abc: 4.429 25.691 6.801
angles: 90.00 90.00 90.00
Space group Cmc2_1 (No. 36)
Asymmetric unit:
Pr (0.000, 0.018, 0.000) (multiplicity 4)
Pr (0.000, 0.325, 0.971) (multiplicity 4)
Al (0.000, 0.104, 0.655) (multiplicity 4)
Al (0.000, 0.208, 0.157) (multiplicity 4)
Al (0.000, 0.212, 0.760) (multiplicity 4)
Al (0.000, 0.372, 0.490) (multiplicity 4)
Al (0.000, 0.443, 0.823) (multiplicity 4)
Pd (0.000, 0.109, 0.257) (multiplicity 4)
Pd (0.000, 0.274, 0.456) (multiplicity 4)
Pd (0.000, 0.446, 0.212) (multiplicity 4)

Principal peaks in the range 2θ = 10–90°, by angle:
hkl 1 3 0, 22.6 deg, 3.934 Å, intensity 20
hkl 0 6 1, 24.6 deg, 3.623 Å, intensity 20
hkl 1 3 1, 26.2 deg, 3.405 Å, intensity 29
hkl 0 4 2, 29.7 deg, 3.006 Å, intensity 20
hkl 0 6 2, 33.7 deg, 2.663 Å, intensity 23
hkl 1 7 1, 34.4 deg, 2.610 Å, intensity 60
hkl 1 3 2, 34.9 deg, 2.572 Å, intensity 100
hkl 0 10 1, 37.4 deg, 2.401 Å, intensity 58
hkl 2 0 0, 40.7 deg, 2.214 Å, intensity 39
hkl 0 0 4, 53.9 deg, 1.701 Å, intensity 30


Which formula does entry 3 have?
Pr2Al5Pd5